Entry 1:
For HoTm2Bi3, a crystal structure in OQMD, relaxed with PBE gives the computed PXRD pattern in this record (Cu Kα, 1.54184 Å).
Peak positions follow from Bragg's law for the DFT cell and can differ from measured ones.

Structure:
```
HoTm2Bi3
1.0
4.4299 0.0000 0.0000
-2.2150 3.8364 0.0000
0.0000 0.0000 10.8741
Ho Tm Bi
1 2 3
direct
0.0000 0.0000 0.0000
0.3333 0.6667 0.3334
0.6667 0.3333 0.6666
0.0000 0.0000 0.5000
0.3333 0.6667 0.8320
0.6667 0.3333 0.1680
```

Most intense lines, 2θ = 15–90°, sorted by position:
2theta, I (rel.)
28.47, 100
40.71, 78
50.35, 7
50.45, 21
58.93, 13
66.72, 37
73.98, 7
74.12, 21
88.07, 5
88.23, 5



Entry 2:
For ErC8, a crystal structure in OQMD, relaxed with PBE gives the computed PXRD pattern in this record (Cu Kα, 1.54184 Å).
Peak positions follow from Bragg's law for the DFT cell and can differ from measured ones.

Structure:
```
ErC8
1.0
0.0000 4.3424 8.3231
2.5073 0.0000 8.3231
2.5073 4.3424 0.0000
Er C
2 16
direct
0.1250 0.1250 0.1250
0.8750 0.8750 0.8750
0.0845 0.4162 0.8312
0.0848 0.4201 0.3328
0.1682 0.8312 0.4162
0.1688 0.8318 0.9155
0.3328 0.6624 0.0848
0.3376 0.6672 0.5799
0.4162 0.0845 0.1682
0.4201 0.0848 0.6624
0.5799 0.9152 0.3376
0.5838 0.9155 0.8318
0.6624 0.3328 0.4201
0.6672 0.3376 0.9152
0.8312 0.1682 0.0845
0.8318 0.1688 0.5838
0.9152 0.5799 0.6672
0.9155 0.5838 0.1688
```

Most intense lines, 2θ = 15–90°, sorted by position:
2theta, I (rel.)
21.14, 100
23.10, 81
26.06, 61
33.93, 32
36.23, 26
37.46, 24
38.51, 22
39.44, 21
43.49, 17
47.22, 55



Entry 3:
For Y3Ga2Ni6, a crystal structure in OQMD, relaxed with PBE gives the computed PXRD pattern in this record (Cu Kα, 1.54184 Å).
Peak positions follow from Bragg's law for the DFT cell and can differ from measured ones.

Structure:
```
Y3Ga2Ni6
1.0
-4.4604 4.4604 4.4604
4.4604 -4.4604 4.4604
4.4604 4.4604 -4.4604
Y Ga Ni
6 4 12
direct
0.0000 0.2915 0.2915
0.0000 0.7085 0.7085
0.2915 0.0000 0.2915
0.2915 0.2915 0.0000
0.7085 0.0000 0.7085
0.7085 0.7085 0.0000
0.0000 0.0000 0.5000
0.0000 0.5000 0.0000
0.5000 0.0000 0.0000
0.5000 0.5000 0.5000
0.0000 0.3351 0.6649
0.0000 0.6649 0.3351
0.3299 0.6649 0.6649
0.3351 0.0000 0.6649
0.3351 0.3351 0.6701
0.3351 0.6649 0.0000
0.3351 0.6701 0.3351
0.6649 0.0000 0.3351
0.6649 0.3299 0.6649
0.6649 0.3351 0.0000
0.6649 0.6649 0.3299
0.6701 0.3351 0.3351
```

Most intense lines, 2θ = 15–90°, sorted by position:
2theta, I (rel.)
31.72, 20
34.84, 26
37.73, 27
40.45, 20
43.02, 100
45.47, 15
62.47, 7
64.38, 14
69.95, 18
78.85, 24



Entry 4:
For K2Dy4Ag4Se9, a crystal structure in OQMD, relaxed with PBE gives the computed PXRD pattern in this record (Cu Kα, 1.54184 Å).
Peak positions follow from Bragg's law for the DFT cell and can differ from measured ones.

Structure:
```
K2Dy4Ag4Se9
1.0
7.4109 -2.1323 0.0000
7.4109 2.1323 0.0000
-5.6797 0.0000 15.9058
K Dy Ag Se
2 4 4 9
direct
0.0386 0.0386 0.2724
0.9614 0.9614 0.7276
0.2315 0.2315 0.1069
0.3479 0.3479 0.4423
0.6521 0.6521 0.5577
0.7685 0.7685 0.8931
0.2343 0.2343 0.7252
0.4260 0.4260 0.0360
0.5740 0.5740 0.9640
0.7657 0.7657 0.2748
0.0000 0.0000 0.5000
0.1510 0.1510 0.9220
0.2942 0.2942 0.5950
0.3701 0.3701 0.2787
0.3874 0.3874 0.8658
0.6126 0.6126 0.1342
0.6299 0.6299 0.7213
0.7058 0.7058 0.4050
0.8490 0.8490 0.0780
```

Most intense lines, 2θ = 15–90°, sorted by position:
2theta, I (rel.)
28.05, 76
29.56, 50
30.20, 100
32.93, 55
34.70, 49
35.28, 71
36.93, 48
41.02, 72
42.39, 93
43.52, 42



Entry 5:
For GdPu2, a crystal structure in OQMD, relaxed with PBE gives the computed PXRD pattern in this record (Cu Kα, 1.54184 Å).
Peak positions follow from Bragg's law for the DFT cell and can differ from measured ones.

Structure:
```
GdPu2
1.0
0.0000 7.1788 7.1788
7.1788 0.0000 7.1788
7.1788 7.1788 0.0000
Gd Pu
2 4
direct
0.1250 0.1250 0.1250
0.8750 0.8750 0.8750
0.0000 0.0000 0.0000
0.0000 0.0000 0.5000
0.0000 0.5000 0.0000
0.5000 0.0000 0.0000
```

Most intense lines, 2θ = 15–90°, sorted by position:
2theta, I (rel.)
17.47, 27
21.44, 100
27.07, 93
35.36, 77
37.04, 82
41.73, 55
45.10, 48
58.57, 34
63.48, 29
75.84, 27



Entry 6:
For Li4TaPbO6, a crystal structure in OQMD, relaxed with PBE gives the computed PXRD pattern in this record (Cu Kα, 1.54184 Å).
Peak positions follow from Bragg's law for the DFT cell and can differ from measured ones.

Structure:
```
Li4TaPbO6
1.0
2.7136 -4.7371 0.0000
2.7136 4.7371 0.0000
-1.7682 0.0000 4.8854
Li Ta Pb O
4 1 1 6
direct
0.0000 0.0000 0.0000
0.3596 0.6404 0.0000
0.6894 0.3106 0.0000
0.8505 0.1495 0.5000
0.5156 0.4844 0.5000
0.1824 0.8176 0.5000
0.1298 0.3945 0.2537
0.2787 0.2688 0.7339
0.4495 0.1178 0.2534
0.6055 0.8702 0.7463
0.7312 0.7213 0.2661
0.8822 0.5505 0.7466
```

Most intense lines, 2θ = 15–90°, sorted by position:
2theta, I (rel.)
18.16, 100
18.73, 23
19.76, 41
22.52, 31
26.20, 21
33.37, 44
33.64, 22
35.15, 40
41.16, 44
41.58, 28



Entry 7:
For K5Hg3, a crystal structure in OQMD, relaxed with PBE gives the computed PXRD pattern in this record (Cu Kα, 1.54184 Å).
Peak positions follow from Bragg's law for the DFT cell and can differ from measured ones.

Structure:
```
K5Hg3
1.0
-7.0362 7.0362 3.5759
7.0362 -7.0362 3.5759
7.0362 7.0362 -3.5759
K Hg
10 6
direct
0.0810 0.7908 0.8718
0.2092 0.0810 0.2902
0.2500 0.7500 0.5000
0.2821 0.5853 0.8674
0.4147 0.2821 0.6968
0.5853 0.7179 0.3032
0.7179 0.4147 0.1326
0.7500 0.2500 0.5000
0.7908 0.9190 0.7098
0.9190 0.2092 0.1282
0.1592 0.3396 0.4988
0.2734 0.2734 0.0000
0.3396 0.8408 0.1804
0.6604 0.1592 0.8196
0.7266 0.7266 0.0000
0.8408 0.6604 0.5012
```

Most intense lines, 2θ = 15–90°, sorted by position:
2theta, I (rel.)
17.83, 25
18.78, 100
19.95, 71
27.99, 58
28.36, 50
28.99, 74
35.81, 37
36.61, 39
36.96, 44
53.49, 28



Entry 8:
For GdSe, a crystal structure in OQMD, relaxed with PBE gives the computed PXRD pattern in this record (Cu Kα, 1.54184 Å).
Peak positions follow from Bragg's law for the DFT cell and can differ from measured ones.

Structure:
```
GdSe
1.0
4.0993 0.0000 0.0000
0.0000 4.1184 0.0000
0.0000 0.0000 5.8096
Gd Se
2 2
direct
0.0000 0.0000 0.0000
0.5000 0.5000 0.5000
0.0000 0.0000 0.5000
0.5000 0.5000 0.0000
```

Most intense lines, 2θ = 15–90°, sorted by position:
2theta, I (rel.)
26.57, 19
30.78, 100
43.97, 12
44.08, 49
44.19, 12
54.63, 13
54.82, 13
72.80, 22
80.96, 13
81.21, 13



Entry 9:
For NdSmSi2Os, a crystal structure in OQMD, relaxed with PBE gives the computed PXRD pattern in this record (Cu Kα, 1.54184 Å).
Peak positions follow from Bragg's law for the DFT cell and can differ from measured ones.

Structure:
```
NdSmSi2Os
1.0
5.5846 -2.1358 0.0000
5.5846 2.1358 0.0000
-5.2116 0.0000 8.9174
Nd Sm Si Os
2 2 4 2
direct
0.0122 0.0122 0.1801
0.9878 0.9878 0.8199
0.1840 0.1840 0.6068
0.8160 0.8160 0.3932
0.3425 0.3425 0.9344
0.4952 0.4952 0.3734
0.5048 0.5048 0.6266
0.6575 0.6575 0.0656
0.2749 0.2749 0.1247
0.7251 0.7251 0.8753
```

Most intense lines, 2θ = 15–90°, sorted by position:
2theta, I (rel.)
22.77, 28
27.10, 52
32.14, 39
32.46, 60
33.25, 37
33.45, 100
35.82, 66
40.27, 43
42.32, 48
62.16, 31



Entry 10:
For Li4NbInO6, a crystal structure in OQMD, relaxed with PBE gives the computed PXRD pattern in this record (Cu Kα, 1.54184 Å).
Peak positions follow from Bragg's law for the DFT cell and can differ from measured ones.

Structure:
```
Li4NbInO6
1.0
2.6532 -4.5833 0.0000
2.6532 4.5833 0.0000
-1.7870 0.0000 4.9059
Li Nb In O
4 1 1 6
direct
0.0000 0.0000 0.0000
0.3492 0.6508 0.0000
0.6891 0.3109 0.0000
0.8461 0.1539 0.5000
0.5137 0.4863 0.5000
0.1788 0.8212 0.5000
0.1190 0.4102 0.2579
0.2765 0.2559 0.7345
0.4306 0.0971 0.2573
0.5898 0.8810 0.7421
0.7441 0.7235 0.2655
0.9029 0.5694 0.7427
```

Most intense lines, 2θ = 15–90°, sorted by position:
2theta, I (rel.)
18.08, 100
19.37, 22
20.27, 38
22.79, 29
26.62, 20
34.42, 36
36.03, 22
41.91, 28
42.08, 55
46.09, 22



Entry 11:
For AlZnNi6, a crystal structure in OQMD, relaxed with PBE gives the computed PXRD pattern in this record (Cu Kα, 1.54184 Å).
Peak positions follow from Bragg's law for the DFT cell and can differ from measured ones.

Structure:
```
AlZnNi6
1.0
5.0699 0.0000 0.0000
-2.5349 4.3906 0.0000
0.0000 0.0000 4.0810
Al Zn Ni
1 1 6
direct
0.0000 0.0000 0.0000
0.6667 0.3333 0.5000
0.0042 0.5021 0.0000
0.1690 0.3381 0.5000
0.1690 0.8310 0.5000
0.4979 0.5021 0.0000
0.4979 0.9958 0.0000
0.6619 0.8310 0.5000
```

Most intense lines, 2θ = 15–90°, sorted by position:
2theta, I (rel.)
20.23, 5
29.89, 2
41.12, 26
41.96, 2
44.40, 26
47.00, 100
62.10, 14
74.92, 15
83.62, 17
89.23, 2



Entry 12:
For NdDy2Ga3Cu2Ni, a crystal structure in OQMD, relaxed with PBE gives the computed PXRD pattern in this record (Cu Kα, 1.54184 Å).
Peak positions follow from Bragg's law for the DFT cell and can differ from measured ones.

Structure:
```
NdDy2Ga3Cu2Ni
1.0
4.0242 0.0000 0.0000
0.0000 6.0209 3.5197
0.0000 -6.0209 3.5197
Nd Dy Ga Cu Ni
1 2 3 2 1
direct
0.0000 0.0000 0.0000
0.0000 0.4114 0.8222
0.0000 0.8222 0.4114
0.5000 0.1810 0.4165
0.5000 0.4165 0.1810
0.5000 0.6447 0.6447
0.5000 0.0815 0.7385
0.5000 0.7385 0.0815
0.0000 0.4187 0.4187
```

Most intense lines, 2θ = 15–90°, sorted by position:
2theta, I (rel.)
33.83, 55
34.02, 100
37.07, 89
37.30, 38
39.11, 21
39.39, 23
39.55, 25
44.74, 18
45.06, 39
59.34, 16